(1)
# Tl5Ag3P4S12
Theoretical powder X-ray diffraction pattern, copper Kα. Input: the PBE geometry in the Materials Project.
Kinematic intensities with the Lorentz-polarization factor, no thermal factor.

Structural model:
```
Tl5Ag3P4S12
1.0
13.0328 -3.7945 0.0000
13.0328 3.7945 0.0000
-4.4496 0.0000 12.4034
Tl Ag P S
10 6 8 24
Direct
0.0016 0.9984 0.7500 Tl
0.0499 0.2657 0.6153 Tl
0.2101 0.4667 0.7275 Tl
0.2657 0.0499 0.1153 Tl
0.4667 0.2101 0.2275 Tl
0.5333 0.7899 0.7725 Tl
0.7343 0.9501 0.8847 Tl
0.7899 0.5333 0.2725 Tl
0.9501 0.7343 0.3847 Tl
0.9984 0.0016 0.2500 Tl
0.2293 0.5347 0.0348 Ag
0.4653 0.7707 0.4652 Ag
0.4846 0.5154 0.2500 Ag
0.5154 0.4846 0.7500 Ag
0.5347 0.2293 0.5348 Ag
0.7707 0.4653 0.9652 Ag
0.0772 0.4011 0.9248 P
0.3405 0.6303 0.4923 P
0.3697 0.6595 0.0077 P
0.4011 0.0772 0.4248 P
0.5989 0.9228 0.5752 P
0.6303 0.3405 0.9923 P
0.6595 0.3697 0.5077 P
0.9228 0.5989 0.0752 P
0.0715 0.4358 0.1965 S
0.0851 0.2368 0.8895 S
0.1452 0.7498 0.9552 S
0.2368 0.0851 0.3895 S
0.2502 0.8548 0.5448 S
0.2564 0.3326 0.4671 S
0.2582 0.6185 0.3340 S
0.2677 0.6087 0.5889 S
0.3326 0.2564 0.9671 S
0.3815 0.7418 0.1660 S
0.3913 0.7323 0.9111 S
0.4358 0.0715 0.6965 S
0.5642 0.9285 0.3035 S
0.6087 0.2677 0.0889 S
0.6185 0.2582 0.8340 S
0.6674 0.7436 0.0329 S
0.7323 0.3913 0.4111 S
0.7418 0.3815 0.6660 S
0.7436 0.6674 0.5329 S
0.7498 0.1452 0.4552 S
0.7632 0.9149 0.6105 S
0.8548 0.2502 0.0448 S
0.9149 0.7632 0.1105 S
0.9285 0.5642 0.8035 S
```

Most intense lines, 5 to 70 degrees two-theta, by angle:
Position (°2θ)	I_rel
21.61	27
21.73	57
23.68	47
24.54	40
24.89	36
29.59	63
29.74	100
29.82	27
31.30	75
41.82	24

(2)
# VAgP2S6
Theoretical powder X-ray diffraction pattern, copper Kα. Input: the PBE geometry in the Materials Project.
Kinematic intensities with the Lorentz-polarization factor, no thermal factor.

Structural model:
```
VAgP2S6
1.0
7.4836 0.0000 0.0000
0.0000 10.8204 0.0000
-1.4880 0.0000 5.7021
V Ag P S
2 2 4 12
Direct
0.0000 0.0682 0.2500 V
0.0000 0.9318 0.7500 V
0.0000 0.4365 0.2500 Ag
0.0000 0.5635 0.7500 Ag
0.1538 0.2480 0.7911 P
0.1538 0.7520 0.2911 P
0.8462 0.2480 0.7089 P
0.8462 0.7520 0.2089 P
0.2088 0.0800 0.9863 S
0.2088 0.9200 0.4863 S
0.2130 0.2277 0.4757 S
0.2130 0.7723 0.9757 S
0.2586 0.3955 0.9740 S
0.2586 0.6045 0.4740 S
0.7414 0.3955 0.5260 S
0.7414 0.6045 0.0260 S
0.7870 0.2277 0.0243 S
0.7870 0.7723 0.5243 S
0.7912 0.0800 0.5137 S
0.7912 0.9200 0.0137 S
```

Most intense lines, 5 to 70 degrees two-theta, by angle:
Position (°2θ)	I_rel
12.22	100
29.30	16
29.69	9
30.66	12
33.40	40
34.79	19
37.56	8
44.63	9
45.16	7
53.09	12

(3)
# ScAgP2Se6
Theoretical powder X-ray diffraction pattern, copper Kα. Input: the PBE geometry in the Materials Project.
Kinematic intensities with the Lorentz-polarization factor, no thermal factor.

Structural model:
```
ScAgP2Se6
1.0
6.5350 0.0000 0.0000
-3.2675 5.6595 0.0000
0.0000 0.0000 15.1689
Sc Ag P Se
2 2 4 12
Direct
0.0000 0.0000 0.2500 Sc
0.0000 0.0000 0.7500 Sc
0.3333 0.6667 0.2500 Ag
0.6667 0.3333 0.7500 Ag
0.3333 0.6667 0.6758 P
0.3333 0.6667 0.8242 P
0.6667 0.3333 0.1758 P
0.6667 0.3333 0.3242 P
0.0240 0.3286 0.6331 Se
0.0240 0.6955 0.8669 Se
0.3045 0.3286 0.8669 Se
0.3045 0.9760 0.6331 Se
0.3286 0.0240 0.1331 Se
0.3286 0.3045 0.3669 Se
0.6714 0.6955 0.6331 Se
0.6714 0.9760 0.8669 Se
0.6955 0.0240 0.3669 Se
0.6955 0.6714 0.1331 Se
0.9760 0.3045 0.1331 Se
0.9760 0.6714 0.3669 Se
```

Most intense lines, 5 to 70 degrees two-theta, by angle:
Position (°2θ)	I_rel
11.67	50
23.46	18
23.60	11
29.77	100
33.51	10
36.29	44
45.36	28
48.24	29
57.72	13
61.85	11

(4)
# Ag7PSe6
Theoretical powder X-ray diffraction pattern, copper Kα. Input: the PBE geometry in the Materials Project.
Kinematic intensities with the Lorentz-polarization factor, no thermal factor.

Structural model:
```
Ag7PSe6
1.0
10.9638 0.0000 0.0000
0.0000 10.9638 0.0000
0.0000 0.0000 10.9638
Ag P Se
28 4 24
Direct
0.0104 0.0184 0.2790 Ag
0.0184 0.2790 0.0104 Ag
0.0701 0.8930 0.7278 Ag
0.1070 0.2278 0.4299 Ag
0.1552 0.6552 0.8448 Ag
0.2210 0.9896 0.5184 Ag
0.2278 0.4299 0.1070 Ag
0.2722 0.5701 0.6070 Ag
0.2790 0.0104 0.0184 Ag
0.3448 0.3448 0.3448 Ag
0.3930 0.7722 0.9299 Ag
0.4299 0.1070 0.2278 Ag
0.4816 0.7210 0.5104 Ag
0.4896 0.9816 0.7790 Ag
0.5104 0.4816 0.7210 Ag
0.5184 0.2210 0.9896 Ag
0.5701 0.6070 0.2722 Ag
0.6070 0.2722 0.5701 Ag
0.6552 0.8448 0.1552 Ag
0.7210 0.5104 0.4816 Ag
0.7278 0.0701 0.8930 Ag
0.7722 0.9299 0.3930 Ag
0.7790 0.4896 0.9816 Ag
0.8448 0.1552 0.6552 Ag
0.8930 0.7278 0.0701 Ag
0.9299 0.3930 0.7722 Ag
0.9816 0.7790 0.4896 Ag
0.9896 0.5184 0.2210 Ag
0.2454 0.7546 0.2546 P
0.2546 0.2454 0.7546 P
0.7454 0.7454 0.7454 P
0.7546 0.2546 0.2454 P
0.0207 0.5207 0.9793 Se
0.1199 0.8608 0.1323 Se
0.1323 0.1199 0.8608 Se
0.1346 0.3654 0.6346 Se
0.1392 0.6323 0.3801 Se
0.2117 0.2117 0.2117 Se
0.2883 0.7883 0.7117 Se
0.3608 0.3677 0.8801 Se
0.3654 0.6346 0.1346 Se
0.3677 0.8801 0.3608 Se
0.3801 0.1392 0.6323 Se
0.4793 0.4793 0.4793 Se
0.5207 0.9793 0.0207 Se
0.6199 0.6392 0.8677 Se
0.6323 0.3801 0.1392 Se
0.6346 0.1346 0.3654 Se
0.6392 0.8677 0.6199 Se
0.7117 0.2883 0.7883 Se
0.7883 0.7117 0.2883 Se
0.8608 0.1323 0.1199 Se
0.8654 0.8654 0.8654 Se
0.8677 0.6199 0.6392 Se
0.8801 0.3608 0.3677 Se
0.9793 0.0207 0.5207 Se
```

Most intense lines, 5 to 70 degrees two-theta, by angle:
Position (°2θ)	I_rel
24.36	22
28.20	100
29.37	23
30.51	41
34.71	38
36.66	21
41.17	20
42.02	30
42.86	39
46.88	42

(5)
# TlAgPSe3
Theoretical powder X-ray diffraction pattern, copper Kα. Input: the PBE geometry in the Materials Project.
Kinematic intensities with the Lorentz-polarization factor, no thermal factor.

Structural model:
```
TlAgPSe3
1.0
10.4815 0.0000 0.0000
0.0000 12.8221 0.0000
-1.2189 0.0000 9.7668
Tl Ag P Se
8 8 8 24
Direct
0.0805 0.1157 0.1186 Tl
0.0805 0.3843 0.6186 Tl
0.3242 0.6731 0.8944 Tl
0.3242 0.8269 0.3944 Tl
0.6758 0.1731 0.6056 Tl
0.6758 0.3269 0.1056 Tl
0.9195 0.6157 0.3814 Tl
0.9195 0.8843 0.8814 Tl
0.2149 0.5524 0.2882 Ag
0.2149 0.9476 0.7882 Ag
0.3255 0.1847 0.7633 Ag
0.3255 0.3153 0.2633 Ag
0.6745 0.6847 0.7367 Ag
0.6745 0.8153 0.2367 Ag
0.7851 0.0524 0.2118 Ag
0.7851 0.4476 0.7118 Ag
0.0467 0.0817 0.5045 P
0.0467 0.4183 0.0045 P
0.4349 0.0231 0.0844 P
0.4349 0.4769 0.5844 P
0.5651 0.5231 0.4156 P
0.5651 0.9769 0.9156 P
0.9533 0.5817 0.9955 P
0.9533 0.9183 0.4955 P
0.0717 0.1245 0.7253 Se
0.0717 0.3755 0.2253 Se
0.1014 0.6861 0.1039 Se
0.1014 0.8139 0.6039 Se
0.2281 0.0728 0.4124 Se
0.2281 0.4272 0.9124 Se
0.2707 0.5887 0.5533 Se
0.2707 0.9113 0.0533 Se
0.3763 0.1918 0.0430 Se
0.3763 0.3082 0.5430 Se
0.4525 0.0009 0.7114 Se
0.4525 0.4991 0.2114 Se
0.5475 0.5009 0.7886 Se
0.5475 0.9991 0.2886 Se
0.6237 0.6918 0.4570 Se
0.6237 0.8082 0.9570 Se
0.7293 0.0887 0.9467 Se
0.7293 0.4113 0.4467 Se
0.7719 0.5728 0.0876 Se
0.7719 0.9272 0.5876 Se
0.8986 0.1861 0.3961 Se
0.8986 0.3139 0.8961 Se
0.9283 0.6245 0.7747 Se
0.9283 0.8755 0.2747 Se
```

Most intense lines, 5 to 70 degrees two-theta, by angle:
Position (°2θ)	I_rel
19.14	39
19.45	28
26.59	26
29.17	25
29.31	39
29.72	100
30.57	66
30.91	32
33.51	30
37.27	21

(6)
# SiAg2P2
Theoretical powder X-ray diffraction pattern, copper Kα. Input: the PBE geometry in the Materials Project.
Kinematic intensities with the Lorentz-polarization factor, no thermal factor.

Structural model:
```
SiAg2P2
1.0
-3.3030 3.3030 4.2769
3.3030 -3.3030 4.2769
3.3030 3.3030 -4.2769
Si Ag P
2 4 4
Direct
0.0000 0.0000 0.0000 Si
0.7500 0.2500 0.5000 Si
0.3215 0.1250 0.6965 Ag
0.3750 0.6785 0.8035 Ag
0.4285 0.6250 0.3035 Ag
0.8750 0.5715 0.1965 Ag
0.0448 0.6250 0.9198 P
0.3750 0.2948 0.4198 P
0.7052 0.1250 0.0802 P
0.8750 0.9552 0.5802 P
```

Most intense lines, 5 to 70 degrees two-theta, by angle:
Position (°2θ)	I_rel
16.96	45
32.05	89
34.29	100
42.26	15
43.31	10
44.14	23
50.97	22
58.56	18
60.03	14
67.01	12

(7)
# Ag3Pb
Theoretical powder X-ray diffraction pattern, copper Kα. Input: the PBE geometry in the Materials Project.
Kinematic intensities with the Lorentz-polarization factor, no thermal factor.

Structural model:
```
Ag3Pb
1.0
3.2467 0.0000 0.0000
-1.6234 2.8118 0.0000
0.0000 0.0000 9.4898
Ag Pb
3 1
Direct
0.0000 0.0000 0.0000 Ag
0.6667 0.3333 0.2322 Ag
0.6667 0.3333 0.7678 Ag
0.0000 0.0000 0.5000 Pb
```

Most intense lines, 5 to 70 degrees two-theta, by angle:
Position (°2θ)	I_rel
9.32	7
28.21	4
31.83	28
33.23	7
37.17	100
37.92	20
50.32	15
56.70	19
68.01	14
69.77	15